Record 1
The following is a simulated powder diffractogram of Ba5Eu8Zn4O21. It was derived from the PBE geometry in Alexandria, using CuKα.
Intensities are scaled so that the largest is 100.

Cell and atoms:
Cell lengths 10.4321, 10.4321, 10.4321 Å; angles 94.49, 94.49, 147.52 degrees
Sites, in units of the cell vectors:
Ba  0.0000  0.0000  0.0000
Ba  0.1384  0.5309  0.6693
Ba  0.4691  0.1384  0.6075
Ba  0.5309  0.8616  0.3925
Ba  0.8616  0.4691  0.3307
Eu  0.1656  0.2500  0.4157
Eu  0.2500  0.8344  0.0844
Eu  0.3583  0.4100  0.7683
Eu  0.4100  0.6417  0.0517
Eu  0.5900  0.3583  0.9483
Eu  0.6417  0.5900  0.2317
Eu  0.7500  0.1656  0.9156
Eu  0.8344  0.7500  0.5843
Zn  0.0425  0.7467  0.7892
Zn  0.2533  0.0425  0.2958
Zn  0.7467  0.9575  0.7042
Zn  0.9575  0.2533  0.2108
O  0.0174  0.9024  0.4075
O  0.0307  0.3751  0.4058
O  0.0656  0.2896  0.8646
O  0.0976  0.5051  0.1150
O  0.2010  0.0656  0.7760
O  0.2896  0.4250  0.2240
O  0.3751  0.9693  0.3445
O  0.3901  0.9826  0.8850
O  0.4250  0.2010  0.1354
O  0.4949  0.6099  0.5925
O  0.5000  0.5000  0.0000
O  0.5051  0.3901  0.4075
O  0.5750  0.7990  0.8646
O  0.6099  0.0174  0.1150
O  0.6249  0.0307  0.6555
O  0.7104  0.5750  0.7760
O  0.7990  0.9344  0.2240
O  0.9024  0.4949  0.8850
O  0.9344  0.7104  0.1354
O  0.9693  0.6249  0.5942
O  0.9826  0.0976  0.5925

Peak list (6 most intense, 10° ≤ 2θ ≤ 80°, in order of falling intensity)
| d/Å | 2theta | I (rel.) |
| --- | --- | --- |
| 2.960 | 30.2 | 100 |
| 2.918 | 30.6 | 39 |
| 3.259 | 27.4 | 38 |
| 2.548 | 35.2 | 29 |
| 1.693 | 54.2 | 19 |
| 2.012 | 45.1 | 18 |

Record 2
The following is a simulated powder diffractogram of Mg3As2O8. It was derived from the PBE geometry in Alexandria, using CuKα.
Intensities are scaled so that the largest is 100.

Cell and atoms:
Cell lengths 5.3678, 8.4912, 9.1495 Å; angles 90.00, 119.91, 90.00 degrees
Sites, in units of the cell vectors:
Mg  0.0000  0.0000  0.0000
Mg  0.0000  0.5000  0.5000
Mg  0.0061  0.1430  0.6039
Mg  0.0061  0.3570  0.1039
Mg  0.9939  0.6430  0.8961
Mg  0.9939  0.8570  0.3961
As  0.3437  0.6961  0.3019
As  0.3437  0.8039  0.8019
As  0.6563  0.1961  0.1981
As  0.6563  0.3039  0.6981
O  0.1662  0.6250  0.7386
O  0.1662  0.8750  0.2386
O  0.1992  0.5650  0.1374
O  0.1992  0.9350  0.6374
O  0.2579  0.6483  0.4544
O  0.2579  0.8517  0.9544
O  0.2924  0.1982  0.1168
O  0.2924  0.3018  0.6168
O  0.7076  0.6982  0.3832
O  0.7076  0.8018  0.8832
O  0.7421  0.1483  0.0456
O  0.7421  0.3517  0.5456
O  0.8008  0.0650  0.3626
O  0.8008  0.4350  0.8626
O  0.8338  0.1250  0.7614
O  0.8338  0.3750  0.2614

Peak list (6 most intense, 10° ≤ 2θ ≤ 80°, in order of falling intensity)
| d/Å | 2theta | I (rel.) |
| --- | --- | --- |
| 4.081 | 21.8 | 100 |
| 3.593 | 24.8 | 80 |
| 3.790 | 23.5 | 57 |
| 4.243 | 20.9 | 45 |
| 2.501 | 35.9 | 30 |
| 2.201 | 41.0 | 26 |

Record 3
The following is a simulated powder diffractogram of Re4Rh. It was derived from the PBE geometry in Alexandria, using CuKα.
Intensities are scaled so that the largest is 100.

Cell and atoms:
Cell lengths 7.4560, 4.7447, 4.4621 Å; angles 90.00, 107.34, 90.00 degrees
Sites, in units of the cell vectors:
Re  0.1126  0.2104  0.0563
Re  0.1126  0.7896  0.5563
Re  0.3050  0.3258  0.6528
Re  0.3050  0.6742  0.1528
Re  0.6950  0.3258  0.8472
Re  0.6950  0.6742  0.3472
Re  0.8874  0.2104  0.4437
Re  0.8874  0.7896  0.9437
Rh  0.5000  0.1677  0.2500
Rh  0.5000  0.8323  0.7500

Peak list (6 most intense, 10° ≤ 2θ ≤ 80°, in order of falling intensity)
| d/Å | 2theta | I (rel.) |
| --- | --- | --- |
| 2.142 | 42.2 | 100 |
| 2.231 | 40.4 | 34 |
| 2.072 | 43.7 | 24 |
| 1.270 | 74.7 | 20 |
| 2.372 | 37.9 | 20 |
| 1.625 | 56.6 | 13 |

Record 4
The following is a simulated powder diffractogram of PrNd2SmHo. It was derived from the PBE geometry in Alexandria, using CuKα.
Intensities are scaled so that the largest is 100.

Cell and atoms:
Cell lengths 8.4128, 6.6745, 6.3033 Å; angles 90.00, 92.87, 90.00 degrees
Sites, in units of the cell vectors:
Pr  0.0000  0.0000  0.0000
Pr  0.0000  0.0000  0.5000
Nd  0.3092  0.3077  0.2330
Nd  0.3092  0.6923  0.7330
Nd  0.6908  0.3077  0.2670
Nd  0.6908  0.6923  0.7670
Sm  0.0000  0.4308  0.7500
Sm  0.0000  0.5692  0.2500
Ho  0.5000  0.1617  0.7500
Ho  0.5000  0.8383  0.2500

Peak list (6 most intense, 10° ≤ 2θ ≤ 80°, in order of falling intensity)
| d/Å | 2theta | I (rel.) |
| --- | --- | --- |
| 3.151 | 28.3 | 100 |
| 3.041 | 29.4 | 65 |
| 3.102 | 28.8 | 59 |
| 2.802 | 31.9 | 58 |
| 2.660 | 33.7 | 31 |
| 2.762 | 32.4 | 28 |

Record 5
The following is a simulated powder diffractogram of Ac2SmPuTe5. It was derived from the PBE geometry in Alexandria, using CuKα.
Intensities are scaled so that the largest is 100.

Cell and atoms:
Cell lengths 5.5992, 5.5992, 11.9146 Å; angles 90.00, 90.00, 90.00 degrees
Sites, in units of the cell vectors:
Ac  0.0000  0.0000  0.2033
Ac  0.0000  0.0000  0.7967
Sm  0.5000  0.5000  0.0000
Pu  0.5000  0.5000  0.5000
Te  0.0000  0.0000  0.5000
Te  0.0000  0.5000  0.0000
Te  0.5000  0.0000  0.0000
Te  0.5000  0.5000  0.2527
Te  0.5000  0.5000  0.7473

Peak list (6 most intense, 10° ≤ 2θ ≤ 80°, in order of falling intensity)
| d/Å | 2theta | I (rel.) |
| --- | --- | --- |
| 2.801 | 31.9 | 100 |
| 3.960 | 22.5 | 68 |
| 2.040 | 44.4 | 34 |
| 2.979 | 30.0 | 25 |
| 1.980 | 45.8 | 23 |
| 4.080 | 21.8 | 22 |

Record 6
The following is a simulated powder diffractogram of La5Y3Ho. It was derived from the PBE geometry in Alexandria, using CuKα.
Intensities are scaled so that the largest is 100.

Cell and atoms:
Cell lengths 10.0917, 10.0917, 11.6068 Å; angles 114.01, 114.01, 37.85 degrees
Sites, in units of the cell vectors:
La  0.0362  0.6316  0.2892
La  0.0945  0.9055  0.7500
La  0.1431  0.5106  0.6391
La  0.3684  0.9638  0.2108
La  0.4894  0.8569  0.8609
La  0.5106  0.1431  0.1391
La  0.6316  0.0362  0.7892
La  0.8569  0.4894  0.3609
La  0.9055  0.0945  0.2500
La  0.9638  0.3684  0.7108
Y  0.0557  0.6257  0.9850
Y  0.3743  0.9443  0.5150
Y  0.5000  0.5000  0.0000
Y  0.5000  0.5000  0.5000
Y  0.6257  0.0557  0.4850
Y  0.9443  0.3743  0.0150
Ho  0.3765  0.6235  0.2500
Ho  0.6235  0.3765  0.7500

Peak list (6 most intense, 10° ≤ 2θ ≤ 80°, in order of falling intensity)
| d/Å | 2theta | I (rel.) |
| --- | --- | --- |
| 2.873 | 31.1 | 100 |
| 2.851 | 31.4 | 83 |
| 2.911 | 30.7 | 79 |
| 2.823 | 31.7 | 50 |
| 3.062 | 29.2 | 50 |
| 3.279 | 27.2 | 43 |